BaZnCl4: theoretical PXRD pattern (Cu Kα (λ = 1.5418 Å)), based on a crystal structure in OQMD, relaxed with PBE.

Crystal structure
```
BaZnCl4
1.0
6.519 0.000 0.000
0.000 15.479 0.000
0.000 0.000 6.856
Ba Zn Cl
4 4 16
Direct
0.000 0.129 0.250 Ba
0.000 0.871 0.750 Ba
0.500 0.371 0.750 Ba
0.500 0.629 0.250 Ba
0.000 0.390 0.250 Zn
0.000 0.610 0.750 Zn
0.500 0.110 0.750 Zn
0.500 0.890 0.250 Zn
0.146 0.299 0.024 Cl
0.146 0.701 0.524 Cl
0.245 0.037 0.908 Cl
0.245 0.963 0.408 Cl
0.255 0.463 0.408 Cl
0.255 0.537 0.908 Cl
0.354 0.201 0.524 Cl
0.354 0.799 0.024 Cl
0.646 0.201 0.976 Cl
0.646 0.799 0.476 Cl
0.745 0.463 0.092 Cl
0.745 0.537 0.592 Cl
0.755 0.037 0.592 Cl
0.755 0.963 0.092 Cl
0.854 0.299 0.476 Cl
0.854 0.701 0.976 Cl
```

Peak list (10 most intense, 10 to 90 degrees two-theta, in order of rising 2θ)
Position (°2θ)  d_spacing  intensity
19.65  4.519  100.0
25.56  3.484  49.9
29.85  2.994  17.6
34.64  2.589  17.8
34.97  2.566  30.1
36.02  2.493  29.8
38.10  2.362  26.2
44.96  2.016  16.0
45.28  2.003  14.9
45.59  1.990  12.8

---

BaZrCl6: theoretical PXRD pattern (Cu Kα (λ = 1.5418 Å)), based on a crystal structure in OQMD, relaxed with PBE.

Crystal structure
```
BaZrCl6
1.0
4.658 -7.052 0.000
4.658 7.052 0.000
0.000 0.000 6.486
Ba Zr Cl
2 2 12
Direct
0.250 0.750 0.926 Ba
0.750 0.250 0.074 Ba
0.250 0.250 0.500 Zr
0.750 0.750 0.500 Zr
0.059 0.320 0.751 Cl
0.064 0.936 0.678 Cl
0.180 0.441 0.249 Cl
0.320 0.059 0.249 Cl
0.436 0.564 0.678 Cl
0.441 0.180 0.751 Cl
0.559 0.820 0.249 Cl
0.564 0.436 0.322 Cl
0.680 0.941 0.751 Cl
0.820 0.559 0.751 Cl
0.936 0.064 0.322 Cl
0.941 0.680 0.249 Cl
```

Peak list (10 most intense, 10 to 90 degrees two-theta, in order of rising 2θ)
Position (°2θ)  d_spacing  intensity
18.59  4.774  100.0
22.88  3.887  29.8
23.51  3.784  32.3
32.59  2.747  28.9
34.78  2.579  33.7
34.96  2.566  18.5
36.06  2.491  46.9
37.69  2.387  29.0
43.10  2.099  17.8
43.22  2.093  21.5

---

BaGa2Co: theoretical PXRD pattern (Cu Kα (λ = 1.5418 Å)), based on a crystal structure in OQMD, relaxed with PBE.

Crystal structure
```
BaGa2Co
1.0
7.018 0.000 0.000
0.000 7.018 0.000
0.000 0.000 7.018
Ba Ga Co
4 8 4
Direct
0.000 0.000 0.000 Ba
0.000 0.500 0.500 Ba
0.500 0.000 0.500 Ba
0.500 0.500 0.000 Ba
0.000 0.000 0.500 Ga
0.000 0.500 0.000 Ga
0.250 0.250 0.750 Ga
0.250 0.750 0.250 Ga
0.500 0.000 0.000 Ga
0.500 0.500 0.500 Ga
0.750 0.250 0.250 Ga
0.750 0.750 0.750 Ga
0.250 0.250 0.250 Co
0.250 0.750 0.750 Co
0.750 0.250 0.750 Co
0.750 0.750 0.250 Co
```

Peak list (10 most intense, 10 to 90 degrees two-theta, in order of rising 2θ)
Position (°2θ)  d_spacing  intensity
21.94  4.052  7.2
25.38  3.509  5.1
36.20  2.481  100.0
42.73  2.116  3.7
52.13  1.754  17.1
57.22  1.610  1.6
58.85  1.569  2.2
65.12  1.433  34.3
76.84  1.241  10.5
88.02  1.110  15.1

---

Ba2GaCoS6: theoretical PXRD pattern (Cu Kα (λ = 1.5418 Å)), based on a crystal structure in OQMD, relaxed with PBE.

Crystal structure
```
Ba2GaCoS6
1.0
0.000 4.775 4.775
4.775 0.000 4.775
4.775 4.775 0.000
Ba Ga Co S
2 1 1 6
Direct
0.250 0.250 0.250 Ba
0.750 0.750 0.750 Ba
0.000 0.000 0.000 Ga
0.500 0.500 0.500 Co
0.257 0.257 0.743 S
0.257 0.743 0.257 S
0.257 0.743 0.743 S
0.743 0.257 0.257 S
0.743 0.257 0.743 S
0.743 0.743 0.257 S
```

Peak list (10 most intense, 10 to 90 degrees two-theta, in order of rising 2θ)
Position (°2θ)  d_spacing  intensity
26.40  3.376  100.0
32.48  2.757  37.9
37.68  2.387  62.4
46.59  1.949  43.0
54.34  1.688  40.7
61.40  1.510  19.1
64.75  1.440  14.0
68.01  1.378  13.6
74.33  1.276  21.5
86.47  1.125  10.8

---

Ba3Co2H12: theoretical PXRD pattern (Cu Kα (λ = 1.5418 Å)), based on a crystal structure in OQMD, relaxed with PBE.

Crystal structure
```
Ba3Co2H12
1.0
5.294 0.000 0.000
-2.647 4.585 0.000
0.000 0.000 8.443
Ba Co H
3 2 12
Direct
0.000 0.000 0.000 Ba
0.333 0.667 0.642 Ba
0.667 0.333 0.358 Ba
0.333 0.667 0.238 Co
0.667 0.333 0.762 Co
0.069 0.534 0.127 H
0.191 0.382 0.339 H
0.191 0.809 0.339 H
0.382 0.191 0.661 H
0.466 0.534 0.127 H
0.466 0.931 0.127 H
0.534 0.069 0.873 H
0.534 0.466 0.873 H
0.618 0.809 0.339 H
0.809 0.191 0.661 H
0.809 0.618 0.661 H
0.931 0.466 0.873 H
```

Peak list (10 most intense, 10 to 90 degrees two-theta, in order of rising 2θ)
Position (°2θ)  d_spacing  intensity
22.06  4.029  84.3
28.75  3.106  100.0
33.87  2.647  81.0
37.50  2.398  19.5
40.79  2.212  18.8
45.00  2.014  29.6
47.13  1.928  27.2
54.02  1.697  15.3
57.49  1.603  27.1
60.59  1.528  14.6